Record 1
Starting from DFT lattice parameters and positions (PBE), the powder diffraction line list of Gd2OsCl was simulated for Cu Kα (λ = 1.5418 Å).

Structural model:
Cell lengths 4.0113, 4.0113, 22.2661 Å; angles 90.00, 90.00, 120.00 degrees
Atoms (fractional coordinates):
Gd (0.0000, 0.0000, 0.2351)
Gd (0.0000, 0.0000, 0.7649)
Gd (0.3333, 0.6667, 0.4315)
Gd (0.3333, 0.6667, 0.9018)
Gd (0.6667, 0.3333, 0.0982)
Gd (0.6667, 0.3333, 0.5685)
Os (0.0000, 0.0000, 0.5000)
Os (0.3333, 0.6667, 0.1667)
Os (0.6667, 0.3333, 0.8333)
Cl (0.0000, 0.0000, 0.0000)
Cl (0.3333, 0.6667, 0.6667)
Cl (0.6667, 0.3333, 0.3333)

Top 10 peaks for 10° ≤ 2θ ≤ 80°, low angle first:
2θ/deg, d (Å), I_rel
11.9, 7.422, 60
30.3, 2.947, 100
38.4, 2.346, 24
41.6, 2.172, 33
45.2, 2.006, 36
46.9, 1.936, 13
52.3, 1.749, 15
55.4, 1.658, 18
63.1, 1.474, 10
74.2, 1.278, 15

=====

Record 2
Starting from DFT lattice parameters and positions (PBE), the powder diffraction line list of Rb3GdCl6 was simulated for Cu Kα (λ = 1.5418 Å).

Structural model:
Cell lengths 8.1818, 8.1818, 8.1818 Å; angles 60.00, 60.00, 60.00 degrees
Atoms (fractional coordinates):
Rb (0.0000, 0.0000, 0.0000)
Rb (0.2500, 0.2500, 0.2500)
Rb (0.7500, 0.7500, 0.7500)
Gd (0.5000, 0.5000, 0.5000)
Cl (0.2695, 0.2695, 0.7305)
Cl (0.2695, 0.7305, 0.2695)
Cl (0.2695, 0.7305, 0.7305)
Cl (0.7305, 0.2695, 0.2695)
Cl (0.7305, 0.2695, 0.7305)
Cl (0.7305, 0.7305, 0.2695)

Top 10 peaks for 10° ≤ 2θ ≤ 80°, low angle first:
2θ/deg, d (Å), I_rel
13.3, 6.680, 16
15.3, 5.785, 21
21.7, 4.091, 100
30.9, 2.893, 68
38.1, 2.362, 46
44.3, 2.045, 47
49.8, 1.830, 24
55.0, 1.670, 15
59.8, 1.546, 27
73.2, 1.294, 19